No. 1
# Zn10CoAg6
Theoretical XRD peak list, Cu Kα (λ = 1.5418 Å). Input: a DFT-relaxed cell (GGA-PBE, Alexandria).
Lines closer than 0.1° are merged.

Crystal structure
```
data_Zn10CoAg6
_chemical_formula_sum 'Zn10 Co1 Ag6'
_cell_length_a 7.7475
_cell_length_b 7.7475
_cell_length_c 5.2722
_cell_angle_alpha 90.00
_cell_angle_beta 90.00
_cell_angle_gamma 120.00
_space_group_name_H-M_alt 'P -3 1 m'
_space_group_IT_number 162
_space_group_name_Hall '-P 3 2'
loop_
_atom_site_label
_atom_site_fract_x
_atom_site_fract_y
_atom_site_fract_z
Zn1 0.0000 0.2490 0.2899
Zn2 0.3333 0.6667 0.0000
Zn3 0.3333 0.6667 0.5000
Co1 0.0000 0.0000 0.0000
Ag1 0.0000 0.3880 0.7710
```

Most intense lines, 10° ≤ 2θ ≤ 80°, most intense first:
(hkl), 2θ/deg, I/Imax
3 -1 1, 39.4, 100
1 1 2, 41.4, 93
3 0 0, 40.3, 68
4 -1 1, 52.1, 23
1 1 1, 28.6, 23
0 0 2, 34.0, 19
4 -2 2, 59.2, 18
3 -1 3, 64.5, 15

No. 2
# CrAg3
Theoretical XRD peak list, Cu Kα (λ = 1.5418 Å). Input: a DFT-relaxed cell (GGA-PBE, Alexandria).
Lines closer than 0.1° are merged.

Crystal structure
```
data_CrAg3
_chemical_formula_sum 'Cr4 Ag12'
_cell_length_a 4.137
_cell_length_b 4.137
_cell_length_c 16.377
_cell_angle_alpha 90.00
_cell_angle_beta 90.00
_cell_angle_gamma 90.00
_space_group_name_H-M_alt 'I 4/m m m'
_space_group_IT_number 139
_space_group_name_Hall '-I 4 2'
loop_
_atom_site_label
_atom_site_fract_x
_atom_site_fract_y
_atom_site_fract_z
Cr1 0.000 0.000 0.125
Ag1 0.000 0.000 0.375
Ag2 0.000 0.500 0.000
Ag3 0.000 0.500 0.250
```

Most intense lines, 10° ≤ 2θ ≤ 80°, most intense first:
(hkl), 2θ/deg, I/Imax
1 1 4, 37.8, 100
2 0 0, 43.8, 32
3 1 4, 76.4, 23
2 0 8, 64.0, 19
0 0 8, 44.2, 16
1 1 12, 77.1, 11
2 2 0, 63.6, 10
1 0 1, 22.2, 4